1.
For CdIn7Hg5, a crystal structure in Alexandria, relaxed with PBE gives the calculated XRD peak list in this record (Cu Kα).

Crystal structure
```
CdIn7Hg5
1.0
7.6097 0.0000 0.0000
-2.1313 7.3102 0.0000
-2.6128 -3.7016 6.2185
Cd In Hg
1 7 5
Direct
0.0000 0.0000 0.0000 Cd
0.1780 0.8700 0.6801 In
0.1951 0.4998 0.3204 In
0.3228 0.1929 0.5117 In
0.3229 0.8172 0.1386 In
0.6821 0.1816 0.8664 In
0.8158 0.5031 0.6860 In
0.8240 0.1245 0.3257 In
0.1422 0.3246 0.8287 Hg
0.5003 0.6878 0.8241 Hg
0.5052 0.3107 0.1832 Hg
0.6778 0.8128 0.4948 Hg
0.8669 0.6768 0.1783 Hg
```

The 10 most intense peaks (2θ from 10° to 90°), low angle first:
d/Å	I/Imax
2.875	60
2.866	57
2.791	100
2.745	56
2.712	28
2.533	44
2.394	26
2.388	36
2.379	40
2.304	30

***

2.
For KAgTe2S, a crystal structure in Alexandria, relaxed with PBE gives the calculated XRD peak list in this record (Cu Kα).

Crystal structure
```
KAgTe2S
1.0
6.2954 0.0000 0.0000
0.0000 6.2954 0.0000
0.0000 0.0000 5.5998
K Ag Te S
1 1 2 1
Direct
0.0000 0.0000 0.0000 K
0.5000 0.5000 0.5000 Ag
0.0000 0.5000 0.0000 Te
0.5000 0.0000 0.0000 Te
0.0000 0.0000 0.5000 S
```

The 10 most intense peaks (2θ from 10° to 90°), low angle first:
d/Å	I/Imax
4.184	18
3.485	100
3.148	59
2.800	21
2.226	22
2.092	36
1.876	34
1.742	20
1.721	13
1.258	13

***

3.
For Nd4TlInO, a crystal structure in Alexandria, relaxed with PBE gives the calculated XRD peak list in this record (Cu Kα).

Crystal structure
```
Nd4TlInO
1.0
3.4133 -8.5394 0.0000
3.4133 8.5394 0.0000
0.0000 0.0000 6.8251
Nd Tl In O
8 2 2 2
Direct
0.0000 0.5000 0.0000 Nd
0.0000 0.5000 0.5000 Nd
0.0727 0.9273 0.7500 Nd
0.4203 0.5797 0.7500 Nd
0.5000 0.0000 0.0000 Nd
0.5000 0.0000 0.5000 Nd
0.5797 0.4203 0.2500 Nd
0.9273 0.0727 0.2500 Nd
0.3899 0.6101 0.2500 Tl
0.6101 0.3899 0.7500 Tl
0.1132 0.8868 0.2500 In
0.8868 0.1132 0.7500 In
0.2640 0.7360 0.7500 O
0.7360 0.2640 0.2500 O
```

The 10 most intense peaks (2θ from 10° to 90°), low angle first:
d/Å	I/Imax
3.413	24
3.169	86
2.846	36
2.788	26
2.666	100
2.413	70
1.841	41
1.706	24
1.502	19
1.437	30

***

4.
For BaNi3S3, a crystal structure in Alexandria, relaxed with PBE gives the calculated XRD peak list in this record (Cu Kα).

Crystal structure
```
BaNi3S3
1.0
8.3600 0.0000 0.0000
-4.1800 7.2400 0.0000
0.0000 0.0000 4.2190
Ba Ni S
2 6 6
Direct
0.3333 0.6667 0.2500 Ba
0.6667 0.3333 0.7500 Ba
0.0374 0.2117 0.2500 Ni
0.1744 0.9626 0.2500 Ni
0.2117 0.1744 0.7500 Ni
0.7883 0.8256 0.2500 Ni
0.8256 0.0374 0.7500 Ni
0.9626 0.7883 0.7500 Ni
0.0620 0.3356 0.7500 S
0.2737 0.9380 0.7500 S
0.3356 0.2737 0.2500 S
0.6644 0.7263 0.7500 S
0.7263 0.0620 0.2500 S
0.9380 0.6644 0.2500 S
```

The 10 most intense peaks (2θ from 10° to 90°), low angle first:
d/Å	I/Imax
7.240	39
4.180	22
3.645	59
3.620	43
2.747	27
2.736	57
2.296	100
2.109	34
1.873	24
1.671	25

***

5.
For ErNbFe4, a crystal structure in Alexandria, relaxed with PBE gives the calculated XRD peak list in this record (Cu Kα).

Crystal structure
```
ErNbFe4
1.0
4.9626 0.0000 0.0000
-2.4813 4.2977 0.0000
0.0000 0.0000 8.1347
Er Nb Fe
2 2 8
Direct
0.3333 0.6667 0.4327 Er
0.6667 0.3333 0.5673 Er
0.3333 0.6667 0.0559 Nb
0.6667 0.3333 0.9441 Nb
0.0000 0.0000 0.0000 Fe
0.0000 0.0000 0.5000 Fe
0.1677 0.3354 0.7632 Fe
0.1677 0.8323 0.7632 Fe
0.3354 0.1677 0.2368 Fe
0.6646 0.8323 0.7632 Fe
0.8323 0.1677 0.2368 Fe
0.8323 0.6646 0.2368 Fe
```

The 10 most intense peaks (2θ from 10° to 90°), low angle first:
d/Å	I/Imax
2.954	21
2.481	61
2.293	95
2.118	100
2.078	61
1.393	37
1.351	22
1.297	26
1.241	22
1.091	18

***

6.
For Cr2B6W, a crystal structure in Alexandria, relaxed with PBE gives the calculated XRD peak list in this record (Cu Kα).

Crystal structure
```
Cr2B6W
1.0
5.2071 0.0000 0.0000
-2.6035 4.5095 0.0000
0.0000 0.0000 3.1156
Cr B W
2 6 1
Direct
0.3333 0.6667 0.0000 Cr
0.6667 0.3333 0.0000 Cr
0.0000 0.3378 0.5000 B
0.0000 0.6622 0.5000 B
0.3378 0.0000 0.5000 B
0.3378 0.3378 0.5000 B
0.6622 0.0000 0.5000 B
0.6622 0.6622 0.5000 B
0.0000 0.0000 0.0000 W
```

The 10 most intense peaks (2θ from 10° to 90°), low angle first:
d/Å	I/Imax
4.509	70
3.116	35
2.604	80
2.563	36
1.998	100
1.503	22
1.495	15
1.354	17
1.337	19
1.201	18